This entry pairs a crystal structure of Mg2Al2Cd with its theoretical powder diffractogram. Radiation: CuKα. Structure: a crystal structure in Alexandria, relaxed with PBE.
Kinematic intensities with the Lorentz-polarization factor, no thermal factor.

Most intense lines, 10 to 90 degrees two-theta, in order of rising 2θ:
d_spacing  I (rel.)
7.189  100
4.389  49
4.309  47
3.359  30
3.069  33
2.515  79
2.500  80
2.469  61
2.398  70
2.334  73
2.281  50
1.889  43

Cell: 4.5642 3.0691 7.4757 Å, 90.00 105.93 90.00°
Fractional positions:
Mg  0.1152  0.0000  0.2252
Mg  0.8848  0.0000  0.7748
Al  0.2965  0.5000  0.5983
Al  0.7035  0.5000  0.4017
Cd  0.5000  0.5000  0.0000

***

This entry pairs a crystal structure of SmY4Ho8 with its theoretical powder diffractogram. Radiation: CuKα. Structure: a crystal structure in Alexandria, relaxed with PBE.
Kinematic intensities with the Lorentz-polarization factor, no thermal factor.

Most intense lines, 10 to 90 degrees two-theta, in order of rising 2θ:
d_spacing  I (rel.)
3.081  23
2.991  30
2.864  100
2.729  37
2.444  17
2.305  24
2.054  9
1.936  12
1.828  30
1.733  16
1.559  21
1.541  13

Cell: 9.9152 9.9152 9.9152 Å, 43.26 43.26 43.26°
Fractional positions:
Sm  0.0000  0.0000  0.0000
Y  0.0000  0.0000  0.5000
Y  0.0000  0.5000  0.0000
Y  0.5000  0.0000  0.0000
Y  0.5000  0.5000  0.5000
Ho  0.2501  0.2501  0.6920
Ho  0.2501  0.6920  0.2501
Ho  0.2819  0.2819  0.2819
Ho  0.3080  0.7499  0.7499
Ho  0.6920  0.2501  0.2501
Ho  0.7181  0.7181  0.7181
Ho  0.7499  0.3080  0.7499
Ho  0.7499  0.7499  0.3080

***

This entry pairs a crystal structure of KCoAgBr4 with its theoretical powder diffractogram. Radiation: CuKα. Structure: a crystal structure in Alexandria, relaxed with PBE.
Kinematic intensities with the Lorentz-polarization factor, no thermal factor.

Most intense lines, 10 to 90 degrees two-theta, in order of rising 2θ:
d_spacing  I (rel.)
5.921  73
3.614  100
3.107  19
2.961  11
2.581  25
2.346  23
2.100  23
2.080  33
1.985  24
1.974  8
1.744  9
1.721  7

Cell: 7.2996 7.2996 10.1256 Å, 90.00 90.00 90.00°
Fractional positions:
K  0.0000  0.0000  0.0000
K  0.5000  0.5000  0.5000
Co  0.0000  0.5000  0.2500
Co  0.5000  0.0000  0.7500
Ag  0.0000  0.0000  0.5000
Ag  0.5000  0.5000  0.0000
Br  0.1743  0.2642  0.3590
Br  0.2358  0.6743  0.1410
Br  0.2642  0.8257  0.6410
Br  0.3257  0.2358  0.8590
Br  0.6743  0.7642  0.8590
Br  0.7358  0.1743  0.6410
Br  0.7642  0.3257  0.1410
Br  0.8257  0.7358  0.3590